PaHg2Br8: calculated XRD peak list (λ = 1.5418 Å (Cu Kα)), based on a DFT-relaxed cell (GGA-PBE, Alexandria).

Most intense lines, 10° ≤ 2θ ≤ 80°, sorted by position:
Position (°2θ)  Rel. int.
11.06  51.1
12.70  20.5
16.77  100.0
18.13  40.5
22.22  21.2
25.56  28.5
33.80  21.2
33.92  24.0
34.38  35.4
42.78  18.6

Atomic structure:
Cell lengths 13.8798, 9.7864, 6.9699 Å; angles 90.00, 91.23, 90.00 degrees
Space group C2/m (No. 12)
One atom of each set of equivalent atoms:
Pa 0.0000 0.0000 0.0000 x2
Hg 0.2271 0.0000 0.2078 x4
Br 0.0834 0.2007 0.2405 x8
Br 0.1014 0.5000 0.6899 x4
Br 0.1690 0.0000 0.7907 x4

CsBaHSe2: calculated XRD peak list (λ = 1.5418 Å (Cu Kα)), based on a DFT-relaxed cell (GGA-PBE, Alexandria).

Most intense lines, 10° ≤ 2θ ≤ 80°, sorted by position:
Position (°2θ)  Rel. int.
20.00  27.3
22.42  69.1
26.60  95.1
28.06  78.1
29.77  100.0
36.67  71.4
39.32  34.7
40.63  38.0
40.92  43.0
50.11  30.8

Atomic structure:
Cell lengths 8.8788, 17.6359, 4.5925 Å; angles 90.00, 90.00, 90.00 degrees
Space group Cmme (No. 67)
One atom of each set of equivalent atoms:
Cs 0.0000 0.2500 0.1436 x4
Ba 0.2500 0.0000 0.0000 x4
H 0.0000 0.0000 0.5000 x4
Se 0.0000 0.0959 0.6275 x8